Record 1
Calculated powder XRD pattern
Compound: Cu3Se2Cl2O6
Radiation: Cu Kα (weighted mean of Kα1 and Kα2)
Structure: a DFT-relaxed cell (PBE, the Materials Project)
Peak positions follow from Bragg's law for the DFT cell and can differ from measured ones.

The 8 most intense peaks (5 to 70 degrees two-theta), in order of falling intensity:
| 2θ/deg | intensity |
| --- | --- |
| 24.6 | 1000 |
| 10.2 | 878 |
| 30.0 | 842 |
| 11.0 | 740 |
| 21.9 | 661 |
| 35.1 | 574 |
| 36.2 | 566 |
| 31.7 | 486 |

Cell and atoms:
abc: 6.171 8.054 8.679
angles: 91.08 94.86 91.84
Fractional coordinates of all 26 atoms:
Cu  0.098  0.403  0.371
Cu  0.305  0.597  0.068
Cu  0.394  0.178  0.575
Cu  0.606  0.822  0.425
Cu  0.695  0.403  0.932
Cu  0.902  0.597  0.629
Se  0.101  0.818  0.321
Se  0.381  0.698  0.724
Se  0.619  0.302  0.276
Se  0.899  0.182  0.679
Cl  0.034  0.727  0.933
Cl  0.413  0.125  0.825
Cl  0.587  0.875  0.175
Cl  0.966  0.273  0.067
O  0.086  0.222  0.540
O  0.178  0.616  0.268
O  0.208  0.556  0.620
O  0.313  0.883  0.456
O  0.385  0.309  0.381
O  0.472  0.572  0.883
O  0.528  0.428  0.117
O  0.615  0.691  0.619
O  0.687  0.117  0.544
O  0.792  0.444  0.380
O  0.822  0.384  0.732
O  0.914  0.778  0.460

Record 2
Calculated powder XRD pattern
Compound: SrCu2Se2Cl2O6
Radiation: Cu Kα (weighted mean of Kα1 and Kα2)
Structure: a DFT-relaxed cell (PBE, the Materials Project)
Peak positions follow from Bragg's law for the DFT cell and can differ from measured ones.

The 8 most intense peaks (5 to 70 degrees two-theta), in order of falling intensity:
| 2θ/deg | intensity |
| --- | --- |
| 27.6 | 1000 |
| 29.0 | 801 |
| 16.3 | 754 |
| 30.7 | 725 |
| 28.7 | 617 |
| 34.4 | 580 |
| 25.1 | 574 |
| 26.9 | 491 |

Cell and atoms:
abc: 7.258 7.315 8.173
angles: 90.00 96.05 90.00
Fractional coordinates of all 26 atoms:
Sr  0.126  0.000  0.070
Sr  0.874  0.500  0.930
Cu  0.303  0.985  0.590
Cu  0.364  0.504  0.097
Cu  0.636  0.004  0.903
Cu  0.697  0.485  0.410
Se  0.129  0.651  0.383
Se  0.353  0.357  0.785
Se  0.647  0.857  0.215
Se  0.871  0.151  0.617
Cl  0.124  0.750  0.785
Cl  0.445  0.287  0.374
Cl  0.555  0.787  0.626
Cl  0.876  0.250  0.215
O  0.107  0.173  0.615
O  0.143  0.621  0.171
O  0.189  0.882  0.384
O  0.207  0.336  0.946
O  0.437  0.131  0.768
O  0.469  0.940  0.074
O  0.531  0.440  0.926
O  0.563  0.631  0.232
O  0.793  0.836  0.054
O  0.811  0.382  0.616
O  0.857  0.121  0.829
O  0.893  0.673  0.385

Record 3
Calculated powder XRD pattern
Compound: YCu3Se2ClO8
Radiation: Cu Kα (weighted mean of Kα1 and Kα2)
Structure: a DFT-relaxed cell (PBE, the Materials Project)
Peak positions follow from Bragg's law for the DFT cell and can differ from measured ones.

The 8 most intense peaks (5 to 70 degrees two-theta), in order of falling intensity:
| 2θ/deg | intensity |
| --- | --- |
| 31.5 | 1000 |
| 36.2 | 903 |
| 33.8 | 760 |
| 30.8 | 756 |
| 54.6 | 622 |
| 31.4 | 508 |
| 16.7 | 482 |
| 26.5 | 466 |

Cell and atoms:
abc: 6.370 9.570 7.064
angles: 90.00 90.00 90.00
Fractional coordinates of all 30 atoms:
Y  0.250  0.250  0.234
Y  0.750  0.750  0.766
Cu  0.000  0.000  0.500
Cu  0.000  0.500  0.500
Cu  0.250  0.250  0.705
Cu  0.500  0.000  0.500
Cu  0.500  0.500  0.500
Cu  0.750  0.750  0.295
Se  0.250  0.560  0.910
Se  0.250  0.940  0.910
Se  0.750  0.060  0.090
Se  0.750  0.440  0.090
Cl  0.250  0.750  0.352
Cl  0.750  0.250  0.648
O  0.037  0.588  0.761
O  0.037  0.912  0.761
O  0.250  0.112  0.503
O  0.250  0.121  0.926
O  0.250  0.379  0.926
O  0.250  0.388  0.503
O  0.463  0.588  0.761
O  0.463  0.912  0.761
O  0.537  0.088  0.239
O  0.537  0.412  0.239
O  0.750  0.612  0.497
O  0.750  0.621  0.074
O  0.750  0.879  0.074
O  0.750  0.888  0.497
O  0.963  0.088  0.239
O  0.963  0.412  0.239

Record 4
Calculated powder XRD pattern
Compound: Sr2CuClO2
Radiation: Cu Kα (weighted mean of Kα1 and Kα2)
Structure: a DFT-relaxed cell (PBE, the Materials Project)
Peak positions follow from Bragg's law for the DFT cell and can differ from measured ones.

The 8 most intense peaks (5 to 70 degrees two-theta), in order of falling intensity:
| 2θ/deg | intensity |
| --- | --- |
| 28.6 | 1000 |
| 36.4 | 389 |
| 44.9 | 353 |
| 60.9 | 204 |
| 54.1 | 156 |
| 38.9 | 137 |
| 59.4 | 116 |
| 19.1 | 99 |

Cell and atoms:
abc: 4.037 4.037 27.808
angles: 90.00 90.00 120.00
Fractional coordinates of all 18 atoms:
Sr  0.013  0.340  0.411
Sr  0.327  0.987  0.077
Sr  0.340  0.013  0.589
Sr  0.660  0.673  0.744
Sr  0.673  0.660  0.256
Sr  0.987  0.327  0.923
Cu  0.000  0.324  0.167
Cu  0.324  0.000  0.833
Cu  0.676  0.676  0.500
Cl  0.000  0.348  0.667
Cl  0.348  0.000  0.333
Cl  0.652  0.652  0.000
O  0.006  0.326  0.232
O  0.320  0.994  0.899
O  0.326  0.006  0.768
O  0.674  0.680  0.565
O  0.680  0.674  0.435
O  0.994  0.320  0.101

Record 5
Calculated powder XRD pattern
Compound: Sr2Cu3Cl2O4
Radiation: Cu Kα (weighted mean of Kα1 and Kα2)
Structure: a DFT-relaxed cell (PBE, the Materials Project)
Peak positions follow from Bragg's law for the DFT cell and can differ from measured ones.

The 8 most intense peaks (5 to 70 degrees two-theta), in order of falling intensity:
| 2θ/deg | intensity |
| --- | --- |
| 26.2 | 1000 |
| 32.6 | 872 |
| 36.1 | 817 |
| 13.7 | 698 |
| 42.3 | 548 |
| 46.8 | 537 |
| 60.5 | 336 |
| 67.1 | 167 |

Cell and atoms:
abc: 7.555 7.555 7.555
angles: 137.39 137.39 61.84
Fractional coordinates of all 11 atoms:
Sr  0.139  0.139  0.000
Sr  0.861  0.861  0.000
Cu  0.000  0.500  0.500
Cu  0.500  0.000  0.500
Cu  0.500  0.500  0.000
Cl  0.250  0.750  0.500
Cl  0.750  0.250  0.500
O  0.249  0.249  0.499
O  0.249  0.751  0.000
O  0.751  0.249  0.000
O  0.751  0.751  0.501

Record 6
Calculated powder XRD pattern
Compound: Sr4Cu3ClO6
Radiation: Cu Kα (weighted mean of Kα1 and Kα2)
Structure: a DFT-relaxed cell (PBE, the Materials Project)
Peak positions follow from Bragg's law for the DFT cell and can differ from measured ones.

The 8 most intense peaks (5 to 70 degrees two-theta), in order of falling intensity:
| 2θ/deg | intensity |
| --- | --- |
| 32.9 | 1000 |
| 58.7 | 365 |
| 47.2 | 262 |
| 69.0 | 155 |
| 16.3 | 80 |
| 40.6 | 50 |
| 36.9 | 21 |
| 23.1 | 19 |

Cell and atoms:
abc: 6.671 6.671 6.671
angles: 109.47 109.47 109.47
Fractional coordinates of all 14 atoms:
Sr  0.000  0.000  0.500
Sr  0.000  0.500  0.000
Sr  0.500  0.000  0.000
Sr  0.500  0.500  0.500
Cu  0.000  0.500  0.500
Cu  0.500  0.000  0.500
Cu  0.500  0.500  0.000
Cl  0.000  0.000  0.000
O  0.250  0.500  0.750
O  0.250  0.750  0.500
O  0.500  0.250  0.750
O  0.500  0.750  0.250
O  0.750  0.250  0.500
O  0.750  0.500  0.250

Record 7
Calculated powder XRD pattern
Compound: YCu6ClO8
Radiation: Cu Kα (weighted mean of Kα1 and Kα2)
Structure: a DFT-relaxed cell (PBE, the Materials Project)
Peak positions follow from Bragg's law for the DFT cell and can differ from measured ones.

The 8 most intense peaks (5 to 70 degrees two-theta), in order of falling intensity:
| 2θ/deg | intensity |
| --- | --- |
| 33.4 | 1000 |
| 56.0 | 430 |
| 66.8 | 362 |
| 38.8 | 308 |
| 16.5 | 149 |
| 42.4 | 76 |
| 19.1 | 20 |
| 58.8 | 18 |

Cell and atoms:
abc: 6.571 6.571 6.571
angles: 60.00 60.00 60.00
Fractional coordinates of all 16 atoms:
Y  0.000  0.000  0.000
Cu  0.000  0.000  0.500
Cu  0.000  0.500  0.000
Cu  0.000  0.500  0.500
Cu  0.500  0.000  0.000
Cu  0.500  0.000  0.500
Cu  0.500  0.500  0.000
Cl  0.500  0.500  0.500
O  0.144  0.144  0.144
O  0.144  0.144  0.567
O  0.144  0.567  0.144
O  0.433  0.856  0.856
O  0.567  0.144  0.144
O  0.856  0.433  0.856
O  0.856  0.856  0.433
O  0.856  0.856  0.856

Record 8
Calculated powder XRD pattern
Compound: ZnCu3Cl2O6
Radiation: Cu Kα (weighted mean of Kα1 and Kα2)
Structure: a DFT-relaxed cell (PBE, the Materials Project)
Peak positions follow from Bragg's law for the DFT cell and can differ from measured ones.

The 8 most intense peaks (5 to 70 degrees two-theta), in order of falling intensity:
| 2θ/deg | intensity |
| --- | --- |
| 16.9 | 1000 |
| 37.9 | 847 |
| 48.7 | 374 |
| 33.6 | 255 |
| 60.1 | 199 |
| 63.7 | 176 |
| 63.0 | 146 |
| 34.2 | 143 |

Cell and atoms:
abc: 6.155 6.155 5.240
angles: 90.00 90.00 120.00
Fractional coordinates of all 12 atoms:
Zn  0.000  0.000  0.000
Cu  0.000  0.500  0.000
Cu  0.500  0.000  0.000
Cu  0.500  0.500  0.000
Cl  0.333  0.667  0.385
Cl  0.667  0.333  0.615
O  0.184  0.368  0.851
O  0.184  0.816  0.851
O  0.368  0.184  0.149
O  0.632  0.816  0.851
O  0.816  0.184  0.149
O  0.816  0.632  0.149

Record 9
Calculated powder XRD pattern
Compound: CuP4Se3Cl
Radiation: Cu Kα (weighted mean of Kα1 and Kα2)
Structure: a DFT-relaxed cell (PBE, the Materials Project)
Peak positions follow from Bragg's law for the DFT cell and can differ from measured ones.

The 8 most intense peaks (5 to 70 degrees two-theta), in order of falling intensity:
| 2θ/deg | intensity |
| --- | --- |
| 28.8 | 1000 |
| 26.9 | 908 |
| 29.3 | 663 |
| 21.7 | 658 |
| 18.4 | 616 |
| 30.1 | 608 |
| 30.7 | 549 |
| 27.1 | 539 |

Cell and atoms:
abc: 12.522 11.629 6.556
angles: 90.00 101.05 90.00
Fractional coordinates of all 36 atoms:
Cu  0.016  0.143  0.239
Cu  0.016  0.357  0.739
Cu  0.984  0.643  0.261
Cu  0.984  0.857  0.761
P  0.143  0.569  0.202
P  0.143  0.931  0.702
P  0.158  0.042  0.431
P  0.158  0.458  0.931
P  0.220  0.642  0.948
P  0.220  0.858  0.448
P  0.406  0.033  0.771
P  0.406  0.467  0.271
P  0.594  0.533  0.729
P  0.594  0.967  0.229
P  0.780  0.142  0.552
P  0.780  0.358  0.052
P  0.842  0.542  0.069
P  0.842  0.958  0.569
P  0.857  0.069  0.298
P  0.857  0.431  0.798
Se  0.281  0.518  0.462
Se  0.281  0.982  0.962
Se  0.305  0.154  0.540
Se  0.305  0.346  0.040
Se  0.401  0.629  0.070
Se  0.401  0.871  0.570
Se  0.599  0.129  0.430
Se  0.599  0.371  0.930
Se  0.695  0.654  0.960
Se  0.695  0.846  0.460
Se  0.719  0.018  0.038
Se  0.719  0.482  0.538
Cl  0.027  0.173  0.896
Cl  0.027  0.327  0.396
Cl  0.973  0.673  0.604
Cl  0.973  0.827  0.104

Record 10
Calculated powder XRD pattern
Compound: CuPb2S2Cl2
Radiation: Cu Kα (weighted mean of Kα1 and Kα2)
Structure: a DFT-relaxed cell (PBE, the Materials Project)
Peak positions follow from Bragg's law for the DFT cell and can differ from measured ones.

The 8 most intense peaks (5 to 70 degrees two-theta), in order of falling intensity:
| 2θ/deg | intensity |
| --- | --- |
| 25.8 | 1000 |
| 28.0 | 547 |
| 48.3 | 392 |
| 44.0 | 366 |
| 40.1 | 359 |
| 53.0 | 310 |
| 33.2 | 300 |
| 30.2 | 212 |

Cell and atoms:
abc: 8.704 8.704 8.704
angles: 150.04 150.04 42.89
Fractional coordinates of all 7 atoms:
Cu  0.000  0.000  0.000
Pb  0.337  0.337  0.000
Pb  0.663  0.663  0.000
S  0.169  0.169  0.000
S  0.831  0.831  0.000
Cl  0.000  0.500  0.500
Cl  0.500  0.000  0.500

Record 11
Calculated powder XRD pattern
Compound: Rb2PrCuCl6
Radiation: Cu Kα (weighted mean of Kα1 and Kα2)
Structure: a DFT-relaxed cell (PBE, the Materials Project)
Peak positions follow from Bragg's law for the DFT cell and can differ from measured ones.

The 8 most intense peaks (5 to 70 degrees two-theta), in order of falling intensity:
| 2θ/deg | intensity |
| --- | --- |
| 23.7 | 1000 |
| 33.8 | 744 |
| 48.6 | 498 |
| 41.7 | 457 |
| 65.9 | 241 |
| 54.7 | 214 |
| 60.5 | 165 |
| 16.7 | 159 |

Cell and atoms:
abc: 7.499 7.499 7.499
angles: 60.00 60.00 60.00
Fractional coordinates of all 10 atoms:
Rb  0.250  0.250  0.250
Rb  0.750  0.750  0.750
Pr  0.000  0.000  0.000
Cu  0.500  0.500  0.500
Cl  0.259  0.259  0.741
Cl  0.259  0.741  0.259
Cl  0.259  0.741  0.741
Cl  0.741  0.259  0.259
Cl  0.741  0.259  0.741
Cl  0.741  0.741  0.259